Starting from a cell relaxed with PBE, the powder diffraction line list of DyThPt10 was simulated for Cu Kα X-rays.
No peak broadening, texture or thermal motion is included.

The 6 most intense peaks (2θ = 15–90°), by angle:
d [Å], 2θ/deg, intensity, h k l
4.656, 19.06, 285, 0 0 2
2.331, 38.62, 290, 0 2 2
2.307, 39.04, 504, 1 2 0
2.301, 39.16, 1000, 1 1 3
2.231, 40.43, 515, 2 0 0
2.066, 43.81, 415, 1 2 2

Cell and atoms:
Lattice parameters (Å, degrees): 4.4619 5.3910 9.2890 90.00 90.00 90.00
Space group Pmmm (No. 47)
Inequivalent atoms, fractional coordinates:
Dy: 0.0000 0.0000 0.0000 [1 per cell]
Th: 0.0000 0.5000 0.5000 [1 per cell]
Pt: 0.0000 0.0000 0.3310 [2 per cell]
Pt: 0.0000 0.5000 0.1656 [2 per cell]
Pt: 0.5000 0.0000 0.5000 [1 per cell]
Pt: 0.5000 0.2508 0.2501 [4 per cell]
Pt: 0.5000 0.5000 0.0000 [1 per cell]

***

Starting from a cell relaxed with PBE, the powder diffraction line list of MgCd5Pd6 was simulated for Cu Kα X-rays.
No peak broadening, texture or thermal motion is included.

The 6 most intense peaks (2θ = 15–90°), by angle:
d [Å], 2θ/deg, intensity, h k l
2.362, 38.10, 336, 0 0 3
2.355, 38.21, 1000, 1 2 1
2.156, 41.90, 511, 1 2 -2
1.858, 49.04, 160, 2 0 2
1.409, 66.35, 125, 1 2 4
1.280, 74.10, 270, 3 2 -3

Cell and atoms:
Lattice parameters (Å, degrees): 4.8003 6.0928 7.1556 90.00 98.02 90.00
Space group P2/m (No. 10)
Inequivalent atoms, fractional coordinates:
Mg: 0.0000 0.0000 0.0000 [1 per cell]
Cd: 0.0000 0.5000 0.0000 [1 per cell]
Cd: 0.3340 0.0000 0.6663 [2 per cell]
Cd: 0.3347 0.5000 0.6663 [2 per cell]
Pd: 0.1630 0.2477 0.3285 [4 per cell]
Pd: 0.5000 0.2449 0.0000 [2 per cell]

***

Starting from a cell relaxed with PBE, the powder diffraction line list of AcNb2Ru was simulated for Cu Kα X-rays.
No peak broadening, texture or thermal motion is included.

The 6 most intense peaks (2θ = 15–90°), by angle:
d [Å], 2θ/deg, intensity, h k l
4.988, 17.78, 333, 0 0 6
2.768, 32.34, 531, 1 0 1
2.733, 32.76, 1000, 0 1 2
2.232, 40.42, 665, 0 1 8
2.037, 44.48, 793, 1 0 10
1.605, 57.41, 376, 1 1 0

Cell and atoms:
Lattice parameters (Å, degrees): 3.2104 3.2104 29.9300 90.00 90.00 120.00
Space group R-3m (No. 166, hexagonal axes)
Inequivalent atoms, fractional coordinates:
Ac: 0.0000 0.0000 0.0000 [3 per cell]
Nb: 0.0000 0.0000 0.1029 [6 per cell]
Ru: 0.0000 0.0000 0.5000 [3 per cell]

***

Starting from a cell relaxed with PBE, the powder diffraction line list of K5TiS4 was simulated for Cu Kα X-rays.
No peak broadening, texture or thermal motion is included.

The 6 most intense peaks (2θ = 15–90°), by angle:
d [Å], 2θ/deg, intensity, h k l
5.888, 15.05, 447, 0 1 1
3.958, 22.46, 820, 2 0 1
3.668, 24.27, 565, 2 1 1
2.978, 30.01, 998, 0 3 1
2.493, 36.02, 1000, 2 2 2
2.344, 38.40, 444, 4 0 0

Cell and atoms:
Lattice parameters (Å, degrees): 9.3778 9.7636 7.3810 90.00 90.00 90.00
Space group Pmmn (No. 59, origin choice 2)
Inequivalent atoms, fractional coordinates:
K: 0.0109 0.0576 0.2383 [8 per cell]
K: 0.2500 0.7500 0.3428 [2 per cell]
Ti: 0.2500 0.2500 0.7128 [2 per cell]
S: 0.0374 0.2500 0.8886 [4 per cell]
S: 0.2500 0.0453 0.5369 [4 per cell]

***

Starting from a cell relaxed with PBE, the powder diffraction line list of Dy2Er4Tm3 was simulated for Cu Kα X-rays.
No peak broadening, texture or thermal motion is included.

The 6 most intense peaks (2θ = 15–90°), by angle:
d [Å], 2θ/deg, intensity, h k l
2.922, 30.60, 632, 1 1 -2
2.860, 31.28, 460, 0 4 0
2.829, 31.63, 603, 5 1 -1
2.766, 32.36, 1000, 4 2 1
2.368, 37.99, 342, 1 3 -2
2.318, 38.85, 264, 5 3 -1

Cell and atoms:
Lattice parameters (Å, degrees): 15.8594 11.4396 6.0694 90.00 95.76 90.00
Space group C2/c (No. 15)
Inequivalent atoms, fractional coordinates:
Dy: 0.1205 0.1437 0.3210 [8 per cell]
Er: 0.0466 0.3574 0.0133 [8 per cell]
Er: 0.2138 0.1420 0.8470 [8 per cell]
Tm: 0.0000 0.0967 0.7500 [4 per cell]
Tm: 0.1662 0.4032 0.5863 [8 per cell]

***

Starting from a cell relaxed with PBE, the powder diffraction line list of H6RuPb2 was simulated for Cu Kα X-rays.
No peak broadening, texture or thermal motion is included.

The 6 most intense peaks (2θ = 15–90°), by angle:
d [Å], 2θ/deg, intensity, h k l
3.739, 23.80, 416, 0 1 2
2.644, 33.91, 1000, 1 1 0
1.869, 48.71, 189, 0 2 4
1.672, 54.91, 190, 1 2 2
1.527, 60.64, 289, 3 0 0
1.182, 81.39, 173, 1 3 4

Cell and atoms:
Lattice parameters (Å, degrees): 5.2917 5.2917 12.9315 90.00 90.00 120.00
Space group R-3m (No. 166, hexagonal axes)
Inequivalent atoms, fractional coordinates:
H: 0.0253 0.5127 0.2441 [18 per cell]
Ru: 0.0000 0.0000 0.5000 [3 per cell]
Pb: 0.0000 0.0000 0.2499 [6 per cell]

***

Starting from a cell relaxed with PBE, the powder diffraction line list of Ce3Cd2C was simulated for Cu Kα X-rays.
No peak broadening, texture or thermal motion is included.

The 6 most intense peaks (2θ = 15–90°), by angle:
d [Å], 2θ/deg, intensity, h k l
2.800, 31.97, 898, 1 1 1
2.769, 32.33, 1000, 1 5 0
2.642, 33.92, 514, 0 4 1
2.527, 35.53, 552, 2 0 0
1.826, 49.93, 339, 2 4 1
1.459, 63.78, 298, 1 5 2

Cell and atoms:
Lattice parameters (Å, degrees): 5.0546 16.5492 3.4342 90.00 90.00 90.00
Space group Cmmm (No. 65)
Inequivalent atoms, fractional coordinates:
Ce: 0.0000 0.0000 0.0000 [2 per cell]
Ce: 0.0000 0.3921 0.5000 [4 per cell]
Cd: 0.0000 0.2011 0.0000 [4 per cell]
C: 0.0000 0.5000 0.0000 [2 per cell]

***

Starting from a cell relaxed with PBE, the powder diffraction line list of Tb3HfNp3N8 was simulated for Cu Kα X-rays.
No peak broadening, texture or thermal motion is included.

The 6 most intense peaks (2θ = 15–90°), by angle:
d [Å], 2θ/deg, intensity, h k l
2.819, 31.74, 348, 0 0 6
2.784, 32.15, 1000, 2 0 2
2.419, 37.17, 935, 0 2 4
1.718, 53.32, 325, 2 0 8
1.702, 53.85, 320, 2 2 0
1.457, 63.88, 306, 2 2 6

Cell and atoms:
Lattice parameters (Å, degrees): 6.8098 6.8098 16.9126 90.00 90.00 120.00
Space group R-3m (No. 166, hexagonal axes)
Inequivalent atoms, fractional coordinates:
Tb: 0.0000 0.5000 0.0000 [9 per cell]
Hf: 0.0000 0.0000 0.5000 [3 per cell]
Np: 0.0000 0.5000 0.5000 [9 per cell]
N: 0.0000 0.0000 0.2486 [6 per cell]
N: 0.0169 0.5084 0.2375 [18 per cell]

***

Question: Number 2 is which compound?
Answer: MgCd5Pd6